Structure and calculated X-ray diffraction stick pattern of Rb2SiAuI6 (the PBE geometry in Alexandria; CuKα).
No peak broadening, texture or thermal motion is included.

Atomic structure:
```
data_Rb2SiAuI6
_cell_length_a 8.165
_cell_length_b 8.165
_cell_length_c 11.616
_cell_angle_alpha 90.00
_cell_angle_beta 90.00
_cell_angle_gamma 90.00
_space_group_name_H-M_alt 'I 4/m m m'
_space_group_IT_number 139
_space_group_name_Hall '-I 4 2'
loop_
_atom_site_label
_atom_site_type_symbol
_atom_site_fract_x
_atom_site_fract_y
_atom_site_fract_z
Rb1 Rb 0.000 0.500 0.250
Si1 Si 0.000 0.000 0.000
Au1 Au 0.000 0.000 0.500
I1 I 0.000 0.000 0.243
I2 I 0.244 0.244 0.000
```

Peak list (10 most intense, 15° ≤ 2θ ≤ 90°, by angle)
| 2θ/deg | I/Imax |
| --- | --- |
| 15.32 | 53 |
| 26.69 | 100 |
| 30.79 | 47 |
| 30.98 | 92 |
| 34.72 | 19 |
| 44.24 | 68 |
| 44.38 | 34 |
| 52.54 | 29 |
| 54.99 | 35 |
| 81.62 | 22 |